[1]
Diffraction record for Li2GeRh2. The powder X-ray diffraction pattern is theoretical, not measured: it uses DFT lattice parameters and positions (PBE) and CuKα.

Crystal structure
Unit cell a=4.443 b=2.959 c=6.138 alpha=90.00 beta=111.06 gamma=90.00
Atoms (fractional coordinates):
Li (0.144, 0.000, 0.287)
Li (0.856, 0.000, 0.713)
Ge (0.500, 0.000, 0.000)
Rh (0.333, 0.500, 0.668)
Rh (0.667, 0.500, 0.332)

Most intense lines, 2θ = 10–80°, in order of rising 2θ:
2θ/deg  d [Å]  Rel. int.
21.45  4.142  100
30.88  2.896  21
34.10  2.629  31
40.61  2.221  27
43.71  2.071  44
43.77  2.068  43
47.63  1.909  16
54.04  1.697  16

[2]
Diffraction record for LiGe2Rh2. The powder X-ray diffraction pattern is theoretical, not measured: it uses DFT lattice parameters and positions (PBE) and CuKα.

Crystal structure
Unit cell a=4.340 b=5.521 c=7.186 alpha=74.70 beta=78.61 gamma=70.50
Atoms (fractional coordinates):
Li (0.247, 0.251, 0.251)
Li (0.753, 0.749, 0.749)
Ge (0.075, 0.738, 0.023)
Ge (0.424, 0.762, 0.477)
Ge (0.576, 0.238, 0.523)
Ge (0.925, 0.262, 0.977)
Rh (0.085, 0.065, 0.689)
Rh (0.416, 0.435, 0.811)
Rh (0.584, 0.565, 0.189)
Rh (0.915, 0.935, 0.311)

Most intense lines, 2θ = 10–80°, in order of rising 2θ:
2θ/deg  d [Å]  Rel. int.
23.62  3.767  98
23.89  3.725  95
24.07  3.697  63
39.30  2.293  100
41.57  2.172  88
41.91  2.156  68
42.39  2.132  52
47.84  1.902  56

[3]
Diffraction record for Li23GeRh6. The powder X-ray diffraction pattern is theoretical, not measured: it uses DFT lattice parameters and positions (PBE) and CuKα.

Crystal structure
Unit cell a=8.538 b=8.538 c=8.538 alpha=60.00 beta=60.00 gamma=60.00
Atoms (fractional coordinates):
Li (0.000, 0.000, 0.000)
Li (0.000, 0.000, 0.500)
Li (0.000, 0.500, 0.000)
Li (0.000, 0.500, 0.500)
Li (0.110, 0.630, 0.630)
Li (0.120, 0.120, 0.120)
Li (0.120, 0.120, 0.640)
Li (0.120, 0.640, 0.120)
Li (0.360, 0.880, 0.880)
Li (0.370, 0.370, 0.370)
Li (0.370, 0.370, 0.890)
Li (0.370, 0.890, 0.370)
Li (0.500, 0.000, 0.000)
Li (0.500, 0.000, 0.500)
Li (0.500, 0.500, 0.000)
Li (0.630, 0.110, 0.630)
Li (0.630, 0.630, 0.110)
Li (0.630, 0.630, 0.630)
Li (0.640, 0.120, 0.120)
Li (0.880, 0.360, 0.880)
Li (0.880, 0.880, 0.360)
Li (0.880, 0.880, 0.880)
Li (0.890, 0.370, 0.370)
Ge (0.500, 0.500, 0.500)
Rh (0.273, 0.273, 0.727)
Rh (0.273, 0.727, 0.273)
Rh (0.273, 0.727, 0.727)
Rh (0.727, 0.273, 0.273)
Rh (0.727, 0.273, 0.727)
Rh (0.727, 0.727, 0.273)

Most intense lines, 2θ = 10–80°, in order of rising 2θ:
2θ/deg  d [Å]  Rel. int.
12.70  6.971  52
14.67  6.037  96
25.56  3.486  100
29.59  3.019  82
33.18  2.700  40
38.75  2.324  37
42.34  2.134  88
50.11  1.820  35

[4]
Diffraction record for Li3Ge3Rh2. The powder X-ray diffraction pattern is theoretical, not measured: it uses DFT lattice parameters and positions (PBE) and CuKα.

Crystal structure
Unit cell a=5.515 b=5.515 c=12.862 alpha=90.00 beta=90.00 gamma=135.47
Atoms (fractional coordinates):
Li (0.075, 0.925, 0.612)
Li (0.075, 0.925, 0.888)
Li (0.361, 0.639, 0.750)
Li (0.639, 0.361, 0.250)
Li (0.925, 0.075, 0.112)
Li (0.925, 0.075, 0.388)
Ge (0.314, 0.686, 0.250)
Ge (0.394, 0.606, 0.550)
Ge (0.394, 0.606, 0.950)
Ge (0.606, 0.394, 0.050)
Ge (0.606, 0.394, 0.450)
Ge (0.686, 0.314, 0.750)
Rh (0.218, 0.782, 0.082)
Rh (0.218, 0.782, 0.418)
Rh (0.782, 0.218, 0.582)
Rh (0.782, 0.218, 0.918)

Most intense lines, 2θ = 10–80°, in order of rising 2θ:
2θ/deg  d [Å]  Rel. int.
13.77  6.431  92
17.37  5.104  100
24.03  3.704  79
27.16  3.283  93
34.70  2.585  44
40.13  2.247  77
43.29  2.090  45
51.84  1.764  70

[5]
Diffraction record for Li5Ge2Ru. The powder X-ray diffraction pattern is theoretical, not measured: it uses DFT lattice parameters and positions (PBE) and CuKα.

Crystal structure
Unit cell a=6.108 b=11.912 c=3.233 alpha=90.00 beta=90.00 gamma=90.00
Atoms (fractional coordinates):
Li (0.000, 0.000, 0.000)
Li (0.025, 0.249, 0.000)
Li (0.249, 0.380, 0.500)
Li (0.251, 0.880, 0.500)
Li (0.475, 0.749, 0.000)
Li (0.500, 0.500, 0.000)
Li (0.525, 0.251, 0.000)
Li (0.749, 0.120, 0.500)
Li (0.751, 0.620, 0.500)
Li (0.975, 0.751, 0.000)
Ge (0.226, 0.616, 0.500)
Ge (0.274, 0.116, 0.500)
Ge (0.726, 0.884, 0.500)
Ge (0.774, 0.384, 0.500)
Ru (0.000, 0.500, 0.000)
Ru (0.500, 0.000, 0.000)

Most intense lines, 2θ = 10–80°, in order of rising 2θ:
2θ/deg  d [Å]  Rel. int.
14.87  5.956  62
16.31  5.435  100
20.83  4.264  80
34.83  2.576  43
38.83  2.319  21
40.64  2.220  59
41.22  2.190  54
42.40  2.132  47

[6]
Diffraction record for Li4GeS5. The powder X-ray diffraction pattern is theoretical, not measured: it uses DFT lattice parameters and positions (PBE) and CuKα.

Crystal structure
Unit cell a=6.225 b=6.225 c=6.225 alpha=105.10 beta=105.10 gamma=118.61
Atoms (fractional coordinates):
Li (0.084, 0.707, 0.791)
Li (0.293, 0.084, 0.376)
Li (0.707, 0.916, 0.624)
Li (0.916, 0.293, 0.209)
Ge (0.501, 0.501, 0.000)
S (0.146, 0.146, 0.000)
S (0.333, 0.528, 0.633)
S (0.528, 0.895, 0.194)
S (0.701, 0.333, 0.806)
S (0.895, 0.701, 0.367)

Most intense lines, 2θ = 10–80°, in order of rising 2θ:
2θ/deg  d [Å]  Rel. int.
16.56  5.353  62
18.23  4.868  100
28.08  3.178  50
29.90  2.988  75
37.57  2.394  75
47.55  1.912  42
50.84  1.796  56
54.18  1.693  26